1.
The following is a computed XRD peak list of NaPa2OsN4. It was derived from a structure optimized by DFT (PBE), using a wavelength of 1.5418 Å.
Kinematic intensities with the Lorentz-polarization factor, no thermal factor.

Cell: 5.756 5.756 7.843 Å, 90.00 90.00 90.00°
Space group I-42m (No. 121)
Symmetry-distinct sites (fractional):
Na (0.000, 0.000, 0.000) x2
Pa (0.000, 0.500, 0.250) x4
Os (0.000, 0.000, 0.500) x2
N (0.162, 0.162, 0.309) x8

Largest 6 diffraction maxima, sorted by position, 2θ from 10° to 90°:
two_theta  I_rel  hkl
19.1  24  1 0 1
31.1  50  2 0 0
31.7  100  1 1 2
44.5  21  2 2 0
55.7  45  3 1 2
56.8  20  2 0 4


2.
The following is a computed XRD peak list of Na3PN3. It was derived from a structure optimized by DFT (PBE), using a wavelength of 1.5418 Å.
Kinematic intensities with the Lorentz-polarization factor, no thermal factor.

Cell: 10.1257 10.1257 3.8828 Å, 90.00 90.00 120.00°
Space group R3m (No. 160, hexagonal axes)
Symmetry-distinct sites (fractional):
Na (0.0054, 0.5027, 0.0000) x9
P (0.0000, 0.0000, 0.1640) x3
N (0.1803, 0.0901, 0.1712) x9

Largest 6 diffraction maxima, sorted by position, 2θ from 10° to 90°:
two_theta  I_rel  hkl
17.5  22  1 1 0
25.1  72  1 0 1
30.8  100  0 2 1
35.5  76  2 2 0
47.6  43  4 0 1
60.8  32  2 4 1


3.
The following is a computed XRD peak list of Na2PmPN4. It was derived from a structure optimized by DFT (PBE), using a wavelength of 1.5418 Å.
Kinematic intensities with the Lorentz-polarization factor, no thermal factor.

Cell: 5.896 5.896 6.227 Å, 90.00 90.00 90.00°
Space group I-42m (No. 121)
Symmetry-distinct sites (fractional):
Na (0.000, 0.500, 0.250) x4
Pm (0.000, 0.000, 0.000) x2
P (0.000, 0.000, 0.500) x2
N (0.165, 0.165, 0.646) x8

Largest 6 diffraction maxima, sorted by position, 2θ from 10° to 90°:
two_theta  I_rel  hkl
20.7  71  1 0 1
21.3  80  1 1 0
30.3  62  2 0 0
36.0  100  1 1 2
37.0  60  2 1 1
57.6  52  3 1 2


4.
The following is a computed XRD peak list of Na2PuP2N6. It was derived from a structure optimized by DFT (PBE), using a wavelength of 1.5418 Å.
Kinematic intensities with the Lorentz-polarization factor, no thermal factor.

Cell: 5.6774 5.6774 17.4368 Å, 90.00 90.00 120.00°
Space group R-3m (No. 166, hexagonal axes)
Symmetry-distinct sites (fractional):
Na (0.0000, 0.0000, 0.1982) x6
Pu (0.0000, 0.0000, 0.0000) x3
P (0.0000, 0.0000, 0.4079) x6
N (0.0130, 0.5065, 0.2552) x18

Largest 6 diffraction maxima, sorted by position, 2θ from 10° to 90°:
two_theta  I_rel  hkl
15.2  37  0 0 3
18.8  55  1 0 1
20.7  78  0 1 2
31.5  100  0 1 5
35.2  27  1 1 3
56.1  29  1 2 5


5.
The following is a computed XRD peak list of NaPu3P4N12. It was derived from a structure optimized by DFT (PBE), using a wavelength of 1.5418 Å.
Kinematic intensities with the Lorentz-polarization factor, no thermal factor.

Cell: 10.8185 10.8185 8.7067 Å, 90.00 90.00 120.00°
Space group R32 (No. 155, hexagonal axes)
Symmetry-distinct sites (fractional):
Na (0.0000, 0.0000, 0.0000) x3
Pu (0.0000, 0.5516, 0.0000) x9
P (0.0000, 0.0000, 0.5000) x3
P (0.0000, 0.4459, 0.5000) x9
N (0.0000, 0.5940, 0.5000) x9
N (0.0000, 0.8538, 0.5000) x9
N (0.0286, 0.2159, 0.1950) x18

Largest 6 diffraction maxima, sorted by position, 2θ from 10° to 90°:
two_theta  I_rel  hkl
16.4  70  1 1 0
21.5  74  0 2 1
27.2  44  2 1 1
28.0  100  2 0 2
36.1  47  1 3 1
40.4  45  3 1 2


6.
The following is a computed XRD peak list of Na2TaPN4. It was derived from a structure optimized by DFT (PBE), using a wavelength of 1.5418 Å.
Kinematic intensities with the Lorentz-polarization factor, no thermal factor.

Cell: 6.255 6.436 5.456 Å, 90.00 90.00 90.00°
Space group Pmn2_1 (No. 31)
Symmetry-distinct sites (fractional):
Na (0.250, 0.167, 0.000) x4
Ta (0.000, 0.362, 0.484) x2
P (0.000, 0.663, 0.983) x2
N (0.000, 0.446, 0.147) x2
N (0.000, 0.600, 0.690) x2
N (0.226, 0.793, 0.040) x4

Largest 6 diffraction maxima, sorted by position, 2θ from 10° to 90°:
two_theta  I_rel  hkl
13.8  100  0 1 0
21.4  93  0 1 1
21.6  82  1 0 1
31.8  59  2 1 0
32.3  81  0 2 1
35.9  76  2 1 1


7.
The following is a computed XRD peak list of NaUP2N6. It was derived from a structure optimized by DFT (PBE), using a wavelength of 1.5418 Å.
Kinematic intensities with the Lorentz-polarization factor, no thermal factor.

Cell: 10.520 10.027 5.286 Å, 90.00 108.06 90.00°
Space group C2/c (No. 15)
Symmetry-distinct sites (fractional):
Na (0.000, 0.085, 0.250) x4
U (0.000, 0.281, 0.750) x4
P (0.213, 0.421, 0.165) x8
N (0.108, 0.294, 0.132) x8
N (0.133, 0.123, 0.710) x8
N (0.170, 0.462, 0.843) x8

Largest 6 diffraction maxima, sorted by position, 2θ from 10° to 90°:
two_theta  I_rel  hkl
17.7  63  2 0 0
19.3  100  1 1 -1
23.9  35  1 1 1
25.2  63  2 2 0
27.4  26  2 2 -1
28.6  34  3 1 -1


8.
The following is a computed XRD peak list of NaZn2PN4. It was derived from a structure optimized by DFT (PBE), using a wavelength of 1.5418 Å.
Kinematic intensities with the Lorentz-polarization factor, no thermal factor.

Cell: 6.902 5.363 5.267 Å, 90.00 90.00 90.00°
Space group Pmn2_1 (No. 31)
Symmetry-distinct sites (fractional):
Na (0.000, 0.197, 0.000) x2
Zn (0.248, 0.306, 0.506) x4
P (0.000, 0.800, 0.511) x2
N (0.000, 0.103, 0.464) x2
N (0.000, 0.772, 0.822) x2
N (0.184, 0.658, 0.380) x4

Largest 6 diffraction maxima, sorted by position, 2θ from 10° to 90°:
two_theta  I_rel  hkl
23.7  31  0 1 1
30.8  22  2 1 0
33.4  32  0 2 0
34.0  43  0 0 2
35.3  100  2 1 1
61.7  27  2 1 3


9.
The following is a computed XRD peak list of NaPa4PbN8. It was derived from a structure optimized by DFT (PBE), using a wavelength of 1.5418 Å.
Kinematic intensities with the Lorentz-polarization factor, no thermal factor.

Cell: 7.1653 7.1653 15.7246 Å, 90.00 90.00 120.00°
Space group R3m (No. 160, hexagonal axes)
Symmetry-distinct sites (fractional):
Na (0.0000, 0.0000, 0.0000) x3
Pa (0.0000, 0.0000, 0.5979) x3
Pa (0.0007, 0.5003, 0.4973) x9
Pb (0.0000, 0.0000, 0.3794) x3
N (0.0000, 0.0000, 0.2315) x3
N (0.0000, 0.0000, 0.7506) x3
N (0.0229, 0.5114, 0.7711) x9
N (0.1732, 0.3465, 0.5716) x9

Largest 6 diffraction maxima, sorted by position, 2θ from 10° to 90°:
two_theta  I_rel  hkl
26.8  46  1 0 4
29.3  100  0 2 1
30.2  40  1 1 3
31.0  42  2 0 2
31.9  36  0 1 5
51.0  35  2 2 0


10.
The following is a computed XRD peak list of Na4PmPa3N8. It was derived from a structure optimized by DFT (PBE), using a wavelength of 1.5418 Å.
Kinematic intensities with the Lorentz-polarization factor, no thermal factor.

Cell: 12.179 7.144 7.048 Å, 90.00 124.01 90.00°
Space group C2/m (No. 12)
Symmetry-distinct sites (fractional):
Na (0.000, 0.000, 0.000) x2
Na (0.000, 0.500, 0.000) x2
Na (0.250, 0.250, 0.500) x4
Pm (0.000, 0.000, 0.500) x2
Pa (0.000, 0.500, 0.500) x2
Pa (0.250, 0.250, 0.000) x4
N (0.025, 0.266, 0.737) x8
N (0.233, 0.500, 0.773) x4
N (0.239, 0.000, 0.791) x4

Largest 6 diffraction maxima, sorted by position, 2θ from 10° to 90°:
two_theta  I_rel  hkl
15.5  100  2 0 -1
29.3  38  0 2 1
30.6  67  2 2 0
35.6  23  4 0 0
35.8  46  2 2 -2
39.2  23  4 2 -1